For CoTc5, DFT lattice parameters and positions (PBE) gives the simulated PXRD pattern in this record (copper Kα).

Structural model:
```
data_CoTc5
_chemical_formula_sum 'Co1 Tc5'
_cell_length_a 2.701
_cell_length_b 2.701
_cell_length_c 11.448
_cell_angle_alpha 90.00
_cell_angle_beta 90.00
_cell_angle_gamma 90.00
_space_group_name_H-M_alt 'P 4/m m m'
_space_group_IT_number 123
_space_group_name_Hall '-P 4 2'
loop_
_atom_site_label
_atom_site_type_symbol
_atom_site_fract_x
_atom_site_fract_y
_atom_site_fract_z
_atom_site_occupancy
Co1 Co 0.000 0.000 0.000 1
Tc1 Tc 0.000 0.000 0.328 1
Tc2 Tc 0.500 0.500 0.154 1
Tc3 Tc 0.500 0.500 0.500 1
```

Peak list (10 most intense, 10° ≤ 2θ ≤ 90°, in order of falling intensity)
- 40.94°, I 100
- 47.63°, I 48
- 84.07°, I 33
- 69.64°, I 28
- 88.75°, I 10
- 36.79°, I 3
- 75.13°, I 2
- 39.35°, I 2
- 63.42°, I 2
- 34.11°, I 1

---

For CoTc5, DFT lattice parameters and positions (PBE) gives the simulated PXRD pattern in this record (copper Kα).

Structural model:
```
data_CoTc5
_chemical_formula_sum 'Co2 Tc10'
_cell_length_a 9.863
_cell_length_b 2.738
_cell_length_c 6.376
_cell_angle_alpha 90.00
_cell_angle_beta 104.14
_cell_angle_gamma 90.00
_space_group_name_H-M_alt 'C 1 m 1'
_space_group_IT_number 8
loop_
_space_group_symop_operation_xyz
'x,y,z'
'x,-y,z'
'x+1/2,y+1/2,z'
'x+1/2,-y+1/2,z'
loop_
_atom_site_label
_atom_site_type_symbol
_atom_site_fract_x
_atom_site_fract_y
_atom_site_fract_z
_atom_site_occupancy
Co1 Co 0.000 0.000 0.000 1
Tc1 Tc 0.054 0.000 0.616 1
Tc2 Tc 0.165 0.500 0.328 1
Tc3 Tc 0.219 0.500 0.946 1
Tc4 Tc 0.339 0.000 0.669 1
Tc5 Tc 0.394 0.000 0.268 1
```

Peak list (10 most intense, 10° ≤ 2θ ≤ 90°, in order of falling intensity)
- 43.61°, I 100
- 41.73°, I 37
- 38.04°, I 25
- 43.81°, I 24
- 43.94°, I 24
- 69.13°, I 16
- 85.03°, I 14
- 38.34°, I 13
- 77.55°, I 12
- 57.81°, I 11

---

For CoTc, DFT lattice parameters and positions (PBE) gives the simulated PXRD pattern in this record (copper Kα).

Structural model:
```
data_CoTc
_chemical_formula_sum 'Co4 Tc4'
_cell_length_a 2.582
_cell_length_b 9.583
_cell_length_c 4.012
_cell_angle_alpha 90.00
_cell_angle_beta 90.00
_cell_angle_gamma 90.00
_space_group_name_H-M_alt 'C m c m'
_space_group_IT_number 63
_space_group_name_Hall '-C 2c 2'
loop_
_atom_site_label
_atom_site_type_symbol
_atom_site_fract_x
_atom_site_fract_y
_atom_site_fract_z
_atom_site_occupancy
Co1 Co 0.000 0.068 0.250 1
Tc1 Tc 0.000 0.336 0.250 1
```

Peak list (10 most intense, 10° ≤ 2θ ≤ 90°, in order of falling intensity)
- 42.70°, I 100
- 45.18°, I 92
- 44.02°, I 77
- 65.80°, I 30
- 29.03°, I 20
- 89.65°, I 19
- 50.84°, I 18
- 81.71°, I 14
- 60.14°, I 14
- 37.54°, I 11

---

For Co12Tc17, DFT lattice parameters and positions (PBE) gives the simulated PXRD pattern in this record (copper Kα).

Structural model:
```
data_Co12Tc17
_chemical_formula_sum 'Co24 Tc34'
_cell_length_a 9.105
_cell_length_b 9.105
_cell_length_c 9.105
_cell_angle_alpha 90.00
_cell_angle_beta 90.00
_cell_angle_gamma 90.00
_space_group_name_H-M_alt 'I -4 3 m'
_space_group_IT_number 217
_space_group_name_Hall 'I -4 2 3'
loop_
_atom_site_label
_atom_site_type_symbol
_atom_site_fract_x
_atom_site_fract_y
_atom_site_fract_z
_atom_site_occupancy
Co1 Co 0.089 0.089 0.726 1
Tc1 Tc 0.000 0.000 0.000 1
Tc2 Tc 0.043 0.358 0.642 1
Tc3 Tc 0.180 0.180 0.180 1
```

Peak list (10 most intense, 10° ≤ 2θ ≤ 90°, in order of falling intensity)
- 42.11°, I 100
- 76.96°, I 25
- 46.80°, I 17
- 49.01°, I 9
- 51.16°, I 8
- 39.59°, I 5
- 73.56°, I 4
- 71.84°, I 4
- 61.07°, I 4
- 80.31°, I 3

---

For CoTcTe2, DFT lattice parameters and positions (PBE) gives the simulated PXRD pattern in this record (copper Kα).

Structural model:
```
data_CoTcTe2
_chemical_formula_sum 'Co1 Tc1 Te2'
_cell_length_a 3.936
_cell_length_b 3.935
_cell_length_c 6.542
_cell_angle_alpha 90.00
_cell_angle_beta 90.06
_cell_angle_gamma 90.00
_space_group_name_H-M_alt 'P 1 m 1'
_space_group_IT_number 6
loop_
_space_group_symop_operation_xyz
'x,y,z'
'x,-y,z'
loop_
_atom_site_label
_atom_site_type_symbol
_atom_site_fract_x
_atom_site_fract_y
_atom_site_fract_z
_atom_site_occupancy
Co1 Co 0.000 0.000 0.000 1
Tc1 Tc 0.500 0.500 0.000 1
Te1 Te 0.000 0.500 0.253 1
Te2 Te 0.500 0.000 0.747 1
```

Peak list (10 most intense, 10° ≤ 2θ ≤ 90°, in order of falling intensity)
- 26.43°, I 100
- 42.66°, I 73
- 13.54°, I 50
- 46.13°, I 29
- 53.95°, I 27
- 35.04°, I 21
- 83.02°, I 20
- 47.68°, I 20
- 68.51°, I 13
- 75.60°, I 13

---

For Ti4Co3Tc, DFT lattice parameters and positions (PBE) gives the simulated PXRD pattern in this record (copper Kα).

Structural model:
```
data_Ti4Co3Tc
_chemical_formula_sum 'Ti12 Co9 Tc3'
_cell_length_a 4.2631
_cell_length_b 4.2631
_cell_length_c 20.7699
_cell_angle_alpha 90.00
_cell_angle_beta 90.00
_cell_angle_gamma 120.00
_space_group_name_H-M_alt 'R -3 m'
_space_group_IT_number 166
_space_group_name_Hall '-R 3 2"'
loop_
_atom_site_label
_atom_site_type_symbol
_atom_site_fract_x
_atom_site_fract_y
_atom_site_fract_z
_atom_site_occupancy
Ti1 Ti 0.0000 0.0000 0.1237 1
Ti2 Ti 0.0000 0.0000 0.3737 1
Co1 Co 0.0000 0.0000 0.0000 1
Co2 Co 0.0000 0.0000 0.2513 1
Tc1 Tc 0.0000 0.0000 0.5000 1
```

Peak list (10 most intense, 10° ≤ 2θ ≤ 90°, in order of falling intensity)
- 42.41°, I 100
- 42.57°, I 99
- 61.65°, I 30
- 77.69°, I 29
- 77.57°, I 15
- 78.03°, I 14
- 29.69°, I 11
- 12.79°, I 3
- 24.49°, I 3
- 25.61°, I 3

---

For Ti4CoTc3, DFT lattice parameters and positions (PBE) gives the simulated PXRD pattern in this record (copper Kα).

Structural model:
```
data_Ti4CoTc3
_chemical_formula_sum 'Ti4 Co1 Tc3'
_cell_length_a 3.081
_cell_length_b 3.081
_cell_length_c 12.276
_cell_angle_alpha 90.00
_cell_angle_beta 90.00
_cell_angle_gamma 90.00
_space_group_name_H-M_alt 'P 4/m m m'
_space_group_IT_number 123
_space_group_name_Hall '-P 4 2'
loop_
_atom_site_label
_atom_site_type_symbol
_atom_site_fract_x
_atom_site_fract_y
_atom_site_fract_z
_atom_site_occupancy
Ti1 Ti 0.000 0.000 0.122 1
Ti2 Ti 0.000 0.000 0.372 1
Co1 Co 0.500 0.500 0.000 1
Tc1 Tc 0.500 0.500 0.243 1
Tc2 Tc 0.500 0.500 0.500 1
```

Peak list (10 most intense, 10° ≤ 2θ ≤ 90°, in order of falling intensity)
- 41.50°, I 100
- 75.65°, I 20
- 60.05°, I 11
- 75.83°, I 10
- 28.98°, I 9
- 60.32°, I 5
- 29.10°, I 4
- 51.43°, I 4
- 68.06°, I 3
- 36.50°, I 2

---

For Tm8Co2Tc, DFT lattice parameters and positions (PBE) gives the simulated PXRD pattern in this record (copper Kα).

Structural model:
```
data_Tm8Co2Tc
_chemical_formula_sum 'Tm16 Co4 Tc2'
_cell_length_a 16.842
_cell_length_b 4.831
_cell_length_c 6.655
_cell_angle_alpha 90.00
_cell_angle_beta 107.85
_cell_angle_gamma 90.00
_space_group_name_H-M_alt 'C 1 2/m 1'
_space_group_IT_number 12
loop_
_space_group_symop_operation_xyz
'x,y,z'
'-x,-y,-z'
'-x,y,-z'
'x,-y,z'
'x+1/2,y+1/2,z'
'-x+1/2,-y+1/2,-z'
'-x+1/2,y+1/2,-z'
'x+1/2,-y+1/2,z'
loop_
_atom_site_label
_atom_site_type_symbol
_atom_site_fract_x
_atom_site_fract_y
_atom_site_fract_z
_atom_site_occupancy
Tm1 Tm 0.035 0.000 0.296 1
Tm2 Tm 0.096 0.500 0.959 1
Tm3 Tm 0.172 0.500 0.472 1
Tm4 Tm 0.200 0.000 0.819 1
Co1 Co 0.187 0.000 0.198 1
Tc1 Tc 0.000 0.500 0.500 1
```

Peak list (10 most intense, 10° ≤ 2θ ≤ 90°, in order of falling intensity)
- 32.87°, I 100
- 37.22°, I 46
- 31.10°, I 38
- 35.75°, I 30
- 33.53°, I 28
- 38.12°, I 18
- 64.37°, I 15
- 33.69°, I 12
- 29.81°, I 10
- 40.46°, I 10

---

For V4Co2Tc, DFT lattice parameters and positions (PBE) gives the simulated PXRD pattern in this record (copper Kα).

Structural model:
```
data_V4Co2Tc
_chemical_formula_sum 'V8 Co4 Tc2'
_cell_length_a 4.443
_cell_length_b 4.443
_cell_length_c 11.688
_cell_angle_alpha 90.00
_cell_angle_beta 90.00
_cell_angle_gamma 90.00
_space_group_name_H-M_alt 'I 4/m m m'
_space_group_IT_number 139
_space_group_name_Hall '-I 4 2'
loop_
_atom_site_label
_atom_site_type_symbol
_atom_site_fract_x
_atom_site_fract_y
_atom_site_fract_z
_atom_site_occupancy
V1 V 0.000 0.000 0.207 1
V2 V 0.000 0.500 0.000 1
Co1 Co 0.000 0.000 0.394 1
Tc1 Tc 0.000 0.000 0.000 1
```

Peak list (10 most intense, 10° ≤ 2θ ≤ 90°, in order of falling intensity)
- 40.61°, I 100
- 43.76°, I 91
- 28.41°, I 76
- 15.16°, I 71
- 61.22°, I 62
- 58.78°, I 31
- 30.55°, I 28
- 43.58°, I 19
- 51.67°, I 17
- 76.08°, I 16

---

For Zn2CoTc, DFT lattice parameters and positions (PBE) gives the simulated PXRD pattern in this record (copper Kα).

Structural model:
```
data_Zn2CoTc
_chemical_formula_sum 'Zn2 Co1 Tc1'
_cell_length_a 2.686
_cell_length_b 3.557
_cell_length_c 5.542
_cell_angle_alpha 90.00
_cell_angle_beta 90.09
_cell_angle_gamma 90.00
_space_group_name_H-M_alt 'P 1 m 1'
_space_group_IT_number 6
loop_
_space_group_symop_operation_xyz
'x,y,z'
'x,-y,z'
loop_
_atom_site_label
_atom_site_type_symbol
_atom_site_fract_x
_atom_site_fract_y
_atom_site_fract_z
_atom_site_occupancy
Zn1 Zn 0.000 0.000 0.000 1
Zn2 Zn 0.500 0.500 0.248 1
Co1 Co 0.501 0.500 0.738 1
Tc1 Tc 0.000 0.000 0.526 1
```

Peak list (10 most intense, 10° ≤ 2θ ≤ 90°, in order of falling intensity)
- 41.30°, I 100
- 42.16°, I 98
- 47.12°, I 67
- 72.26°, I 35
- 51.37°, I 27
- 84.65°, I 11
- 84.76°, I 11
- 82.93°, I 11
- 83.04°, I 11
- 70.06°, I 10

---

For ZnCoTc, DFT lattice parameters and positions (PBE) gives the simulated PXRD pattern in this record (copper Kα).

Structural model:
```
data_ZnCoTc
_chemical_formula_sum 'Zn2 Co2 Tc2'
_cell_length_a 2.651
_cell_length_b 3.539
_cell_length_c 8.257
_cell_angle_alpha 90.00
_cell_angle_beta 90.00
_cell_angle_gamma 90.00
_space_group_name_H-M_alt 'I m m 2'
_space_group_IT_number 44
loop_
_space_group_symop_operation_xyz
'x,y,z'
'-x,-y,z'
'-x,y,z'
'x,-y,z'
'x+1/2,y+1/2,z+1/2'
'-x+1/2,-y+1/2,z+1/2'
'-x+1/2,y+1/2,z+1/2'
'x+1/2,-y+1/2,z+1/2'
loop_
_atom_site_label
_atom_site_type_symbol
_atom_site_fract_x
_atom_site_fract_y
_atom_site_fract_z
_atom_site_occupancy
Zn1 Zn 0.000 0.000 0.000 1
Co1 Co 0.000 0.000 0.665 1
Tc1 Tc 0.000 0.000 0.317 1
```

Peak list (10 most intense, 10° ≤ 2θ ≤ 90°, in order of falling intensity)
- 41.57°, I 100
- 42.61°, I 95
- 47.63°, I 66
- 72.88°, I 35
- 51.65°, I 26
- 85.90°, I 22
- 83.79°, I 22
- 68.14°, I 10
- 71.14°, I 10
- 27.42°, I 9

---

For CoTe5, DFT lattice parameters and positions (PBE) gives the simulated PXRD pattern in this record (copper Kα).

Structural model:
```
data_CoTe5
_chemical_formula_sum 'Co2 Te10'
_cell_length_a 3.979
_cell_length_b 14.717
_cell_length_c 5.983
_cell_angle_alpha 90.00
_cell_angle_beta 90.00
_cell_angle_gamma 90.00
_space_group_name_H-M_alt 'C m m m'
_space_group_IT_number 65
_space_group_name_Hall '-C 2 2'
loop_
_atom_site_label
_atom_site_type_symbol
_atom_site_fract_x
_atom_site_fract_y
_atom_site_fract_z
_atom_site_occupancy
Co1 Co 0.000 0.000 0.000 1
Te1 Te 0.000 0.000 0.500 1
Te2 Te 0.000 0.344 0.500 1
Te3 Te 0.000 0.388 0.000 1
```

Peak list (10 most intense, 10° ≤ 2θ ≤ 90°, in order of falling intensity)
- 28.89°, I 100
- 42.04°, I 72
- 29.87°, I 68
- 55.47°, I 23
- 12.03°, I 22
- 39.71°, I 22
- 45.60°, I 21
- 38.03°, I 21
- 49.09°, I 20
- 62.04°, I 20

---

What is the formula in the seventh record? Ti4CoTc3